Structure and simulated XRD peak list of La3Mo4O16F (a GGA+U-relaxed structure; a wavelength of 1.5418 Å).
No peak broadening, texture or thermal motion is included.

Crystal structure
Unit cell a=7.3606 b=7.5335 c=14.8879 alpha=101.40 beta=102.17 gamma=100.06
Sites, in units of the cell vectors:
1 La 0.1310 0.0808 0.2392
2 La 0.1589 0.6583 0.3773
3 La 0.1755 0.5435 0.8933
4 La 0.8245 0.4565 0.1067
5 La 0.8411 0.3417 0.6227
6 La 0.8690 0.9192 0.7608
7 Mo 0.2615 0.2262 0.4883
8 Mo 0.2721 0.7468 0.6723
9 Mo 0.2947 0.0660 0.9851
10 Mo 0.3302 0.5929 0.1688
11 Mo 0.6698 0.4071 0.8312
12 Mo 0.7053 0.9340 0.0149
13 Mo 0.7279 0.2532 0.3277
14 Mo 0.7385 0.7738 0.5117
15 O 0.0982 0.2249 0.5601
16 O 0.1386 0.8730 0.8860
17 O 0.1581 0.5677 0.7221
18 O 0.1605 0.6077 0.0649
19 O 0.1720 0.9422 0.7026
20 O 0.1841 0.4311 0.2166
21 O 0.1893 0.3390 0.3928
22 O 0.2066 0.2557 0.9525
23 O 0.2137 0.6618 0.5462
24 O 0.2295 0.0520 0.0922
25 O 0.2490 0.9982 0.4163
26 O 0.3866 0.8038 0.2559
27 O 0.4442 0.8291 0.9942
28 O 0.4643 0.4772 0.8598
29 O 0.4744 0.2016 0.2831
30 O 0.4963 0.3244 0.5616
31 O 0.5037 0.6756 0.4384
32 O 0.5256 0.7984 0.7169
33 O 0.5357 0.5228 0.1402
34 O 0.5558 0.1709 0.0058
35 O 0.6134 0.1962 0.7441
36 O 0.7510 0.0018 0.5837
37 O 0.7705 0.9480 0.9078
38 O 0.7863 0.3382 0.4538
39 O 0.7934 0.7443 0.0475
40 O 0.8107 0.6610 0.6072
41 O 0.8159 0.5689 0.7834
42 O 0.8280 0.0578 0.2974
43 O 0.8395 0.3923 0.9351
44 O 0.8419 0.4323 0.2779
45 O 0.8614 0.1270 0.1140
46 O 0.9018 0.7751 0.4399
47 F 0.0039 0.7503 0.2309
48 F 0.9961 0.2497 0.7691

Top 12 peaks for 2θ = 15–90°, low angle first:
Position (°2θ)  d/Å  intensity  (hkl)
15.4  5.759  21  1 0 -2
15.5  5.719  20  1 0 1
24.0  3.709  87  0 2 -1
24.7  3.606  20  1 -1 3
25.2  3.538  81  1 -2 0
25.3  3.522  100  0 1 -4
25.4  3.505  51  2 0 0
26.5  3.358  60  1 1 2
29.6  3.020  36  -1 1 4
44.4  2.040  21  -1 3 3
48.6  1.875  30  1 -4 1
49.0  1.858  21  3 1 2